# 1
The following is a computed PXRD pattern of Tb3Pr. It was derived from a crystal structure in the Materials Project, relaxed with GGA-PBE, using λ = 1.5418 Å (Cu Kα).
Intensities are scaled so that the largest is 1000.

Largest 6 diffraction maxima, most intense first, 15 to 90 degrees two-theta:
| 2theta | I/Imax |
| --- | --- |
| 32.20 | 1000 |
| 30.66 | 251 |
| 28.22 | 236 |
| 59.77 | 227 |
| 55.49 | 210 |
| 49.96 | 196 |

Crystal structure
```
data_Tb3Pr
_chemical_formula_sum 'Tb3 Pr1'
_space_group_name_H-M_alt 'P -6 m 2'
_space_group_IT_number 187
_space_group_name_Hall 'P -6 2'
_cell_length_a 3.6509
_cell_length_b 3.6509
_cell_length_c 11.6639
_cell_angle_alpha 90.00
_cell_angle_beta 90.00
_cell_angle_gamma 120.00
loop_
_atom_site_label
_atom_site_type_symbol
_atom_site_fract_x
_atom_site_fract_y
_atom_site_fract_z
_atom_site_occupancy
Tb1 Tb 0.0000 0.0000 0.0000 1
Tb2 Tb 0.6667 0.3333 0.2447 1
Pr1 Pr 0.0000 0.0000 0.5000 1
```

---

# 2
The following is a computed PXRD pattern of Tb3Pr. It was derived from a crystal structure in the Materials Project, relaxed with GGA-PBE, using λ = 1.5418 Å (Cu Kα).
Intensities are scaled so that the largest is 1000.

Largest 6 diffraction maxima, most intense first, 15 to 90 degrees two-theta:
| 2theta | I/Imax |
| --- | --- |
| 32.22 | 1000 |
| 30.49 | 257 |
| 28.29 | 234 |
| 59.77 | 228 |
| 55.28 | 217 |
| 50.08 | 194 |

Crystal structure
```
data_Tb3Pr
_chemical_formula_sum 'Tb6 Pr2'
_space_group_name_H-M_alt 'P 63/m m c'
_space_group_IT_number 194
_space_group_name_Hall '-P 6c 2c'
_cell_length_a 7.2861
_cell_length_b 7.2861
_cell_length_c 5.8643
_cell_angle_alpha 90.00
_cell_angle_beta 90.00
_cell_angle_gamma 120.00
loop_
_atom_site_label
_atom_site_type_symbol
_atom_site_fract_x
_atom_site_fract_y
_atom_site_fract_z
_atom_site_occupancy
Tb1 Tb 0.1653 0.3306 0.2500 1
Pr1 Pr 0.3333 0.6667 0.7500 1
```

---

# 3
The following is a computed PXRD pattern of Tb2Pr. It was derived from a crystal structure in the Materials Project, relaxed with GGA-PBE, using λ = 1.5418 Å (Cu Kα).
Intensities are scaled so that the largest is 1000.

Largest 6 diffraction maxima, most intense first, 15 to 90 degrees two-theta:
| 2theta | I/Imax |
| --- | --- |
| 31.53 | 1000 |
| 33.16 | 821 |
| 30.28 | 499 |
| 59.91 | 433 |
| 50.37 | 368 |
| 28.65 | 360 |

Crystal structure
```
data_Tb2Pr
_chemical_formula_sum 'Tb6 Pr3'
_space_group_name_H-M_alt 'R 3 m'
_space_group_IT_number 160
_space_group_name_Hall 'R 3 -2"'
_cell_length_a 3.6232
_cell_length_b 3.6232
_cell_length_c 26.5694
_cell_angle_alpha 90.00
_cell_angle_beta 90.00
_cell_angle_gamma 120.00
loop_
_atom_site_label
_atom_site_type_symbol
_atom_site_fract_x
_atom_site_fract_y
_atom_site_fract_z
_atom_site_occupancy
Tb1 Tb 0.0000 0.0000 0.0000 1
Tb2 Tb 0.0000 0.0000 0.2262 1
Pr1 Pr 0.0000 0.0000 0.7796 1
```

---

# 4
The following is a computed PXRD pattern of Tb3Pr. It was derived from a crystal structure in the Materials Project, relaxed with GGA-PBE, using λ = 1.5418 Å (Cu Kα).
Intensities are scaled so that the largest is 1000.

Largest 6 diffraction maxima, most intense first, 15 to 90 degrees two-theta:
| 2theta | I/Imax |
| --- | --- |
| 30.37 | 1000 |
| 35.14 | 340 |
| 60.12 | 288 |
| 50.70 | 241 |
| 35.35 | 167 |
| 60.39 | 142 |

Crystal structure
```
data_Tb3Pr
_chemical_formula_sum 'Tb6 Pr2'
_space_group_name_H-M_alt 'I 4/m m m'
_space_group_IT_number 139
_space_group_name_Hall '-I 4 2'
_cell_length_a 5.1074
_cell_length_b 5.1074
_cell_length_c 10.1570
_cell_angle_alpha 90.00
_cell_angle_beta 90.00
_cell_angle_gamma 90.00
loop_
_atom_site_label
_atom_site_type_symbol
_atom_site_fract_x
_atom_site_fract_y
_atom_site_fract_z
_atom_site_occupancy
Tb1 Tb 0.0000 0.0000 0.0000 1
Tb2 Tb 0.0000 0.5000 0.2500 1
Pr1 Pr 0.0000 0.0000 0.5000 1
```

---

# 5
The following is a computed PXRD pattern of Pr2Te5. It was derived from a crystal structure in the Materials Project, relaxed with GGA-PBE, using λ = 1.5418 Å (Cu Kα).
Intensities are scaled so that the largest is 1000.

Largest 6 diffraction maxima, most intense first, 15 to 90 degrees two-theta:
| 2theta | I/Imax |
| --- | --- |
| 29.99 | 1000 |
| 33.55 | 667 |
| 40.40 | 600 |
| 27.70 | 412 |
| 49.69 | 326 |
| 67.10 | 292 |

Crystal structure
```
data_Pr2Te5
_chemical_formula_sum 'Pr8 Te20'
_space_group_name_H-M_alt 'C m c m'
_space_group_IT_number 63
_space_group_name_Hall '-C 2c 2'
_cell_length_a 4.4652
_cell_length_b 45.0842
_cell_length_c 4.4648
_cell_angle_alpha 90.00
_cell_angle_beta 90.00
_cell_angle_gamma 90.00
loop_
_atom_site_label
_atom_site_type_symbol
_atom_site_fract_x
_atom_site_fract_y
_atom_site_fract_z
_atom_site_occupancy
Pr1 Pr 0.0000 0.0977 0.2500 1
Pr2 Pr 0.0000 0.3068 0.2500 1
Te1 Te 0.0000 0.0414 0.7500 1
Te2 Te 0.0000 0.1726 0.2500 1
Te3 Te 0.0000 0.2500 0.7500 1
Te4 Te 0.0000 0.3802 0.2500 1
Te5 Te 0.0000 0.4582 0.7500 1
```

---

# 6
The following is a computed PXRD pattern of Pr3Te4. It was derived from a crystal structure in the Materials Project, relaxed with GGA-PBE, using λ = 1.5418 Å (Cu Kα).
Intensities are scaled so that the largest is 1000.

Largest 6 diffraction maxima, most intense first, 15 to 90 degrees two-theta:
| 2theta | I/Imax |
| --- | --- |
| 29.42 | 1000 |
| 34.96 | 713 |
| 59.33 | 285 |
| 48.33 | 174 |
| 72.31 | 161 |
| 42.08 | 160 |

Crystal structure
```
data_Pr3Te4
_chemical_formula_sum 'Pr12 Te16'
_space_group_name_H-M_alt 'I -4 3 d'
_space_group_IT_number 220
_space_group_name_Hall 'I -4bd 2c 3'
_cell_length_a 9.6020
_cell_length_b 9.6020
_cell_length_c 9.6020
_cell_angle_alpha 90.00
_cell_angle_beta 90.00
_cell_angle_gamma 90.00
loop_
_atom_site_label
_atom_site_type_symbol
_atom_site_fract_x
_atom_site_fract_y
_atom_site_fract_z
_atom_site_occupancy
Pr1 Pr 0.0000 0.2500 0.8750 1
Te1 Te 0.0755 0.4245 0.5755 1
```

---

# 7
The following is a computed PXRD pattern of PrTe3. It was derived from a crystal structure in the Materials Project, relaxed with GGA-PBE, using λ = 1.5418 Å (Cu Kα).
Intensities are scaled so that the largest is 1000.

Largest 6 diffraction maxima, most intense first, 15 to 90 degrees two-theta:
| 2theta | I/Imax |
| --- | --- |
| 30.28 | 1000 |
| 32.98 | 521 |
| 40.97 | 482 |
| 25.77 | 380 |
| 36.73 | 297 |
| 49.03 | 259 |

Crystal structure
```
data_PrTe3
_chemical_formula_sum 'Pr4 Te12'
_space_group_name_H-M_alt 'C m c m'
_space_group_IT_number 63
_space_group_name_Hall '-C 2c 2'
_cell_length_a 4.4048
_cell_length_b 27.6610
_cell_length_c 4.4074
_cell_angle_alpha 90.00
_cell_angle_beta 90.00
_cell_angle_gamma 90.00
loop_
_atom_site_label
_atom_site_type_symbol
_atom_site_fract_x
_atom_site_fract_y
_atom_site_fract_z
_atom_site_occupancy
Pr1 Pr 0.0000 0.1718 0.2500 1
Te1 Te 0.0000 0.0780 0.7500 1
Te2 Te 0.0000 0.2928 0.2500 1
Te3 Te 0.0000 0.4219 0.7500 1
```

---

# 8
The following is a computed PXRD pattern of Pr2Te3. It was derived from a crystal structure in the Materials Project, relaxed with GGA-PBE, using λ = 1.5418 Å (Cu Kα).
Intensities are scaled so that the largest is 1000.

Largest 6 diffraction maxima, most intense first, 15 to 90 degrees two-theta:
| 2theta | I/Imax |
| --- | --- |
| 29.43 | 1000 |
| 34.97 | 734 |
| 59.39 | 187 |
| 46.34 | 169 |
| 48.32 | 120 |
| 62.70 | 105 |

Crystal structure
```
data_Pr2Te3
_chemical_formula_sum 'Pr32 Te48'
_space_group_name_H-M_alt 'I -4 2 d'
_space_group_IT_number 122
_space_group_name_Hall 'I -4 2bw'
_cell_length_a 9.5899
_cell_length_b 9.5899
_cell_length_c 28.8550
_cell_angle_alpha 90.00
_cell_angle_beta 90.00
_cell_angle_gamma 90.00
loop_
_atom_site_label
_atom_site_type_symbol
_atom_site_fract_x
_atom_site_fract_y
_atom_site_fract_z
_atom_site_occupancy
Pr1 Pr 0.0000 0.0000 0.1678 1
Pr2 Pr 0.1195 0.2500 0.6250 1
Pr3 Pr 0.1299 0.2441 0.2907 1
Te1 Te 0.0747 0.1727 0.0675 1
Te2 Te 0.0749 0.1773 0.3978 1
Te3 Te 0.0809 0.1737 0.7343 1
```

---

# 9
The following is a computed PXRD pattern of PrTlTe2. It was derived from a crystal structure in the Materials Project, relaxed with GGA-PBE, using λ = 1.5418 Å (Cu Kα).
Intensities are scaled so that the largest is 1000.

Largest 6 diffraction maxima, most intense first, 15 to 90 degrees two-theta:
| 2theta | I/Imax |
| --- | --- |
| 26.61 | 1000 |
| 36.84 | 393 |
| 39.11 | 370 |
| 47.94 | 202 |
| 63.52 | 174 |
| 60.35 | 164 |

Crystal structure
```
data_PrTlTe2
_chemical_formula_sum 'Pr3 Tl3 Te6'
_space_group_name_H-M_alt 'R -3 m'
_space_group_IT_number 166
_space_group_name_Hall '-R 3 2"'
_cell_length_a 4.6059
_cell_length_b 4.6059
_cell_length_c 24.6722
_cell_angle_alpha 90.00
_cell_angle_beta 90.00
_cell_angle_gamma 120.00
loop_
_atom_site_label
_atom_site_type_symbol
_atom_site_fract_x
_atom_site_fract_y
_atom_site_fract_z
_atom_site_occupancy
Pr1 Pr 0.0000 0.0000 0.0000 1
Tl1 Tl 0.0000 0.0000 0.5000 1
Te1 Te 0.0000 0.0000 0.2600 1
```

---

# 10
The following is a computed PXRD pattern of PrUTe6. It was derived from a crystal structure in the Materials Project, relaxed with GGA-PBE, using λ = 1.5418 Å (Cu Kα).
Intensities are scaled so that the largest is 1000.

Largest 6 diffraction maxima, most intense first, 15 to 90 degrees two-theta:
| 2theta | I/Imax |
| --- | --- |
| 30.56 | 1000 |
| 33.60 | 786 |
| 27.45 | 444 |
| 28.93 | 402 |
| 40.99 | 328 |
| 41.16 | 325 |

Crystal structure
```
data_PrUTe6
_chemical_formula_sum 'Pr2 U2 Te12'
_space_group_name_H-M_alt 'A m m 2'
_space_group_IT_number 38
_cell_length_a 4.4034
_cell_length_b 4.3858
_cell_length_c 25.9918
_cell_angle_alpha 90.00
_cell_angle_beta 90.00
_cell_angle_gamma 90.00
loop_
_space_group_symop_operation_xyz
'x,y,z'
'-x,-y,z'
'-x,y,z'
'x,-y,z'
'x,y+1/2,z+1/2'
'-x,-y+1/2,z+1/2'
'-x,y+1/2,z+1/2'
'x,-y+1/2,z+1/2'
loop_
_atom_site_label
_atom_site_type_symbol
_atom_site_fract_x
_atom_site_fract_y
_atom_site_fract_z
_atom_site_occupancy
Pr1 Pr 0.0000 0.0000 0.0000 1
U1 U 0.5000 0.0000 0.6667 1
Te1 Te 0.0000 0.0000 0.1312 1
Te2 Te 0.0000 0.0000 0.4021 1
Te3 Te 0.0000 0.0000 0.7555 1
Te4 Te 0.5000 0.0000 0.2555 1
Te5 Te 0.5000 0.0000 0.5413 1
Te6 Te 0.5000 0.0000 0.9018 1
```

---

# 11
The following is a computed PXRD pattern of Pr2UTe4. It was derived from a crystal structure in the Materials Project, relaxed with GGA-PBE, using λ = 1.5418 Å (Cu Kα).
Intensities are scaled so that the largest is 1000.

Largest 6 diffraction maxima, most intense first, 15 to 90 degrees two-theta:
| 2theta | I/Imax |
| --- | --- |
| 29.71 | 1000 |
| 35.31 | 737 |
| 59.91 | 199 |
| 22.90 | 145 |
| 46.80 | 142 |
| 44.70 | 140 |

Crystal structure
```
data_Pr2UTe4
_chemical_formula_sum 'Pr8 U4 Te16'
_space_group_name_H-M_alt 'I -4 2 d'
_space_group_IT_number 122
_space_group_name_Hall 'I -4 2bw'
_cell_length_a 9.5203
_cell_length_b 9.5203
_cell_length_c 9.4879
_cell_angle_alpha 90.00
_cell_angle_beta 90.00
_cell_angle_gamma 90.00
loop_
_atom_site_label
_atom_site_type_symbol
_atom_site_fract_x
_atom_site_fract_y
_atom_site_fract_z
_atom_site_occupancy
Pr1 Pr 0.1247 0.7500 0.1250 1
U1 U 0.0000 0.0000 0.5000 1
Te1 Te 0.0752 0.6757 0.4553 1
```

---

# 12
The following is a computed PXRD pattern of Pr3Th. It was derived from a crystal structure in the Materials Project, relaxed with GGA-PBE, using λ = 1.5418 Å (Cu Kα).
Intensities are scaled so that the largest is 1000.

Largest 6 diffraction maxima, most intense first, 15 to 90 degrees two-theta:
| 2theta | I/Imax |
| --- | --- |
| 29.74 | 1000 |
| 49.54 | 368 |
| 34.51 | 338 |
| 58.91 | 293 |
| 34.39 | 171 |
| 58.76 | 148 |

Crystal structure
```
data_Pr3Th
_chemical_formula_sum 'Pr6 Th2'
_space_group_name_H-M_alt 'I 4/m m m'
_space_group_IT_number 139
_space_group_name_Hall '-I 4 2'
_cell_length_a 5.1982
_cell_length_b 5.1982
_cell_length_c 10.4301
_cell_angle_alpha 90.00
_cell_angle_beta 90.00
_cell_angle_gamma 90.00
loop_
_atom_site_label
_atom_site_type_symbol
_atom_site_fract_x
_atom_site_fract_y
_atom_site_fract_z
_atom_site_occupancy
Pr1 Pr 0.0000 0.0000 0.0000 1
Pr2 Pr 0.0000 0.5000 0.2500 1
Th1 Th 0.0000 0.0000 0.5000 1
```